Entry 1:
Starting from DFT lattice parameters and positions (GGA-PBE), the powder X-ray diffraction pattern of Hf2BPt2Rh4 was computed for copper Kα.
Lines closer than 0.1° are merged.

Most intense lines, 2θ from 10° to 80°, in order of falling intensity:
2θ/deg  I (rel.)  (hkl)
38.4  1000  2 0 2
44.4  343  2 2 0
77.8  255  4 2 2
65.2  213  2 2 4
45.2  160  0 0 4
78.9  119  2 0 6
64.6  112  4 0 0
31.0  68  2 0 0

Structure:
```
data_Hf2BPt2Rh4
_chemical_formula_sum 'Hf4 B2 Pt4 Rh8'
_cell_length_a 5.770
_cell_length_b 5.770
_cell_length_c 8.024
_cell_angle_alpha 90.00
_cell_angle_beta 90.00
_cell_angle_gamma 90.00
_space_group_name_H-M_alt 'I 4/m m m'
_space_group_IT_number 139
_space_group_name_Hall '-I 4 2'
loop_
_atom_site_label
_atom_site_type_symbol
_atom_site_fract_x
_atom_site_fract_y
_atom_site_fract_z
Hf1 Hf 0.000 0.500 0.250
B1 B 0.000 0.000 0.000
Pt1 Pt 0.000 0.000 0.260
Rh1 Rh 0.245 0.245 0.500
```

Entry 2:
Starting from DFT lattice parameters and positions (GGA-PBE), the powder X-ray diffraction pattern of K2HgMo was computed for copper Kα.
Lines closer than 0.1° are merged.

Most intense lines, 2θ from 10° to 80°, in order of falling intensity:
2θ/deg  I (rel.)  (hkl)
32.8  1000  1 0 4
19.2  740  0 1 1
13.6  650  0 0 2
26.3  477  1 1 1
27.4  398  0 1 3
49.8  261  1 2 4
41.1  224  2 1 1
36.0  203  2 0 0

Structure:
```
data_K2HgMo
_chemical_formula_sum 'K4 Hg2 Mo2'
_cell_length_a 4.990
_cell_length_b 4.944
_cell_length_c 13.018
_cell_angle_alpha 90.00
_cell_angle_beta 90.00
_cell_angle_gamma 90.00
_space_group_name_H-M_alt 'A m m 2'
_space_group_IT_number 38
_space_group_name_Hall 'A 2 -2'
loop_
_atom_site_label
_atom_site_type_symbol
_atom_site_fract_x
_atom_site_fract_y
_atom_site_fract_z
K1 K 0.000 0.000 0.000
K2 K 0.500 0.000 0.305
Hg1 Hg 0.000 0.000 0.708
Mo1 Mo 0.500 0.000 0.600
```